1.
Theoretical X-ray diffraction stick pattern
Compound: NdDy3Sc
Radiation: Cu Ka
Structure: the PBE geometry in Alexandria
Peak positions follow from Bragg's law for the DFT cell and can differ from measured ones.

Top 10 peaks for 10° ≤ 2θ ≤ 80°, low angle first:
- 26.66°, intensity 21, hkl 3 1 1
- 31.33°, intensity 84, hkl 1 1 2
- 32.02°, intensity 100, hkl 2 4 -1
- 32.63°, intensity 51, hkl 4 0 -2
- 33.14°, intensity 33, hkl 3 3 1
- 37.07°, intensity 31, hkl 5 3 0
- 43.56°, intensity 17, hkl 3 5 1
- 47.20°, intensity 25, hkl 1 3 -3
- 55.47°, intensity 16, hkl 1 5 -3
- 57.85°, intensity 18, hkl 6 4 -3

Structural model:
abc: 15.091 12.989 6.494
angles: 90.00 104.34 90.00
Space group C2/c (No. 15)
One atom of each set of equivalent atoms:
Nd  0.000  0.077  0.250
Nd  0.000  0.186  0.750
Dy  0.097  0.328  0.457
Dy  0.202  0.194  0.160
Dy  0.205  0.068  0.653
Sc  0.099  0.423  0.945


2.
Theoretical X-ray diffraction stick pattern
Compound: Nd6Dy5Sc
Radiation: Cu Ka
Structure: the PBE geometry in Alexandria
Peak positions follow from Bragg's law for the DFT cell and can differ from measured ones.

Top 10 peaks for 10° ≤ 2θ ≤ 80°, low angle first:
- 30.52°, intensity 100, hkl 1 2 3
- 35.18°, intensity 34, hkl 2 0 0
- 35.77°, intensity 16, hkl 0 4 0
- 50.61°, intensity 12, hkl 2 0 6
- 51.05°, intensity 24, hkl 2 4 0
- 60.20°, intensity 14, hkl 3 2 3
- 60.32°, intensity 14, hkl 1 2 9
- 61.04°, intensity 14, hkl 1 6 3
- 63.52°, intensity 12, hkl 2 4 6
- 74.27°, intensity 2, hkl 4 0 0

Structural model:
abc: 5.108 10.040 15.285
angles: 90.00 90.00 90.00
Space group Immm (No. 71)
One atom of each set of equivalent atoms:
Nd  0.000  0.246  0.000
Nd  0.000  0.252  0.334
Dy  0.000  0.000  0.165
Dy  0.000  0.000  0.500
Dy  0.000  0.500  0.166
Sc  0.000  0.500  0.500


3.
Theoretical X-ray diffraction stick pattern
Compound: Nd5Dy3Sc2
Radiation: Cu Ka
Structure: the PBE geometry in Alexandria
Peak positions follow from Bragg's law for the DFT cell and can differ from measured ones.

Top 10 peaks for 10° ≤ 2θ ≤ 80°, low angle first:
- 19.75°, intensity 14, hkl 1 -2 0
- 30.75°, intensity 100, hkl 0 2 1
- 30.87°, intensity 97, hkl 3 -1 0
- 35.64°, intensity 33, hkl 2 2 -2
- 35.77°, intensity 66, hkl 1 -1 3
- 51.35°, intensity 35, hkl 3 1 1
- 51.40°, intensity 24, hkl 1 3 -5
- 61.03°, intensity 28, hkl 2 4 -1
- 61.10°, intensity 27, hkl -3 5 2
- 61.32°, intensity 27, hkl 4 -6 1

Structural model:
abc: 9.389 9.393 9.411
angles: 106.48 106.87 115.10
Space group P-1 (No. 2)
One atom of each set of equivalent atoms:
Nd  0.021  0.075  0.345
Nd  0.130  0.380  0.751
Nd  0.229  0.677  0.155
Nd  0.379  0.127  0.248
Nd  0.474  0.428  0.653
Dy  0.077  0.228  0.053
Dy  0.276  0.822  0.848
Dy  0.323  0.973  0.553
Sc  0.168  0.523  0.450
Sc  0.425  0.275  0.949


4.
Theoretical X-ray diffraction stick pattern
Compound: Nd3Dy2Sc2
Radiation: Cu Ka
Structure: the PBE geometry in Alexandria
Peak positions follow from Bragg's law for the DFT cell and can differ from measured ones.

Top 10 peaks for 10° ≤ 2θ ≤ 80°, low angle first:
- 24.68°, intensity 15, hkl 0 2 2
- 30.41°, intensity 49, hkl 1 2 1
- 31.52°, intensity 100, hkl 0 1 -2
- 32.28°, intensity 41, hkl 0 2 3
- 33.10°, intensity 41, hkl 0 3 1
- 33.42°, intensity 59, hkl 1 0 -2
- 46.40°, intensity 17, hkl 1 3 -1
- 49.07°, intensity 24, hkl -1 3 3
- 58.53°, intensity 13, hkl 1 1 -4
- 62.26°, intensity 14, hkl 2 2 -2

Structural model:
abc: 3.504 8.426 8.573
angles: 62.32 89.96 78.03
Space group P-1 (No. 2)
One atom of each set of equivalent atoms:
Nd  0.000  0.000  0.000
Nd  0.297  0.409  0.708
Dy  0.368  0.264  0.182
Sc  0.069  0.860  0.434


5.
Theoretical X-ray diffraction stick pattern
Compound: Nd3Dy6Sc
Radiation: Cu Ka
Structure: the PBE geometry in Alexandria
Peak positions follow from Bragg's law for the DFT cell and can differ from measured ones.

Top 10 peaks for 10° ≤ 2θ ≤ 80°, low angle first:
- 23.50°, intensity 41, hkl 0 2 1
- 29.57°, intensity 21, hkl 2 2 -1
- 31.02°, intensity 58, hkl 2 0 2
- 31.49°, intensity 60, hkl 3 1 -1
- 32.13°, intensity 100, hkl 1 1 -3
- 33.40°, intensity 17, hkl 2 2 -2
- 35.68°, intensity 24, hkl 1 3 1
- 38.46°, intensity 22, hkl 1 3 -2
- 46.49°, intensity 15, hkl 3 3 -2
- 52.45°, intensity 17, hkl 4 0 -4

Structural model:
abc: 9.168 8.391 8.941
angles: 90.00 100.87 90.00
Space group C2/m (No. 12)
One atom of each set of equivalent atoms:
Nd  0.000  0.000  0.000
Nd  0.218  0.000  0.747
Dy  0.115  0.500  0.860
Dy  0.119  0.185  0.360
Sc  0.000  0.500  0.500


6.
Theoretical X-ray diffraction stick pattern
Compound: NdDy8Sc2
Radiation: Cu Ka
Structure: the PBE geometry in Alexandria
Peak positions follow from Bragg's law for the DFT cell and can differ from measured ones.

Top 10 peaks for 10° ≤ 2θ ≤ 80°, low angle first:
- 22.85°, intensity 22, hkl 1 1 2
- 30.37°, intensity 27, hkl 1 1 4
- 32.50°, intensity 100, hkl 1 2 3
- 33.28°, intensity 41, hkl 2 0 0
- 33.46°, intensity 20, hkl 0 3 1
- 34.53°, intensity 19, hkl 0 0 6
- 47.93°, intensity 15, hkl 2 3 1
- 48.73°, intensity 15, hkl 2 0 6
- 59.00°, intensity 18, hkl 3 2 3
- 64.29°, intensity 13, hkl 1 5 4

Structural model:
abc: 5.381 8.154 15.586
angles: 90.00 90.00 90.00
Space group Immm (No. 71)
One atom of each set of equivalent atoms:
Nd  0.000  0.000  0.000
Dy  0.000  0.200  0.500
Dy  0.000  0.295  0.143
Dy  0.000  0.500  0.336
Sc  0.000  0.000  0.300


Question: Number 3 is which compound?
Answer: Nd5Dy3Sc2


What did the first record say?
Theoretical X-ray diffraction stick pattern
Compound: NdDy3Sc
Radiation: Cu Ka
Structure: the PBE geometry in Alexandria
Peak positions follow from Bragg's law for the DFT cell and can differ from measured ones.

Top 10 peaks for 10° ≤ 2θ ≤ 80°, low angle first:
- 26.66°, intensity 21, hkl 3 1 1
- 31.33°, intensity 84, hkl 1 1 2
- 32.02°, intensity 100, hkl 2 4 -1
- 32.63°, intensity 51, hkl 4 0 -2
- 33.14°, intensity 33, hkl 3 3 1
- 37.07°, intensity 31, hkl 5 3 0
- 43.56°, intensity 17, hkl 3 5 1
- 47.20°, intensity 25, hkl 1 3 -3
- 55.47°, intensity 16, hkl 1 5 -3
- 57.85°, intensity 18, hkl 6 4 -3

Structural model:
abc: 15.091 12.989 6.494
angles: 90.00 104.34 90.00
Space group C2/c (No. 15)
One atom of each set of equivalent atoms:
Nd  0.000  0.077  0.250
Nd  0.000  0.186  0.750
Dy  0.097  0.328  0.457
Dy  0.202  0.194  0.160
Dy  0.205  0.068  0.653
Sc  0.099  0.423  0.945